Calculated X-ray powder pattern of TbPrDy2Sc for CuKα, from a DFT-relaxed cell (PBE, Alexandria).
Neutral-atom scattering factors, no anomalous dispersion.

Main lines, in order of rising 2θ (2θ = 15–90°):
31.0 deg, I 100, (2 1 -1); 31.1 deg, I 98, (1 1 2); 35.9 deg, I 66, (0 2 0); 36.2 deg, I 32, (3 0 1); 51.8 deg, I 35, (1 2 -3); 51.9 deg, I 23, (3 2 1); 61.5 deg, I 42, (1 3 2); 61.7 deg, I 13, (0 1 5); 61.8 deg, I 13, (5 1 0); 84.7 deg, I 17, (0 3 5)

Structural model:
```
TbPrDy2Sc
1.0
7.865 0.000 0.000
0.000 5.003 0.000
-0.051 0.000 7.878
Tb Pr Dy Sc
2 2 4 2
Cartesian
0.413 1.251 2.739
7.400 3.752 5.139
1.965 1.251 5.967
5.848 3.752 1.910
1.250 3.752 0.412
2.744 3.752 3.564
5.069 1.251 4.314
6.564 1.251 7.466
3.539 1.251 1.178
4.275 3.752 6.699
```